(1)
Calculated XRD peak list of PmEr6In5 for Cu Kα (weighted mean of Kα1 and Kα2), from a DFT-relaxed cell (PBE, Alexandria).

Most intense lines, 2θ from 15° to 90°, in order of falling intensity:
Position (°2θ)	Rel. int.
32.7	100
36.2	20
35.9	19
62.9	15
62.5	13
51.9	13
41.4	12
68.5	10
56.1	10
55.9	9

Structural model:
Unit cell a=9.0297 b=9.0297 c=9.0297 alpha=148.09 beta=122.23 gamma=67.53
Sites, in units of the cell vectors:
Pm  0.0000  0.0000  0.0000
Er  0.0945  0.8302  0.2642
Er  0.2744  0.5000  0.7744
Er  0.4340  0.1698  0.2642
Er  0.5660  0.8302  0.7358
Er  0.7256  0.5000  0.2256
Er  0.9055  0.1698  0.7358
In  0.1530  0.6530  0.5000
In  0.3213  0.3213  0.0000
In  0.5000  0.0000  0.5000
In  0.6787  0.6787  0.0000
In  0.8470  0.3470  0.5000

(2)
Calculated XRD peak list of Pm4Er9In11 for Cu Kα (weighted mean of Kα1 and Kα2), from a DFT-relaxed cell (PBE, Alexandria).

Most intense lines, 2θ from 15° to 90°, in order of falling intensity:
Position (°2θ)	Rel. int.
32.6	100
33.9	97
34.2	82
34.6	74
38.5	71
32.1	70
58.5	52
61.9	43
64.3	30
52.8	28

Structural model:
Unit cell a=14.1683 b=14.1683 c=3.4672 alpha=90.00 beta=90.00 gamma=111.24
Sites, in units of the cell vectors:
Pm  0.0945  0.2568  0.0000
Pm  0.2568  0.0945  0.0000
Pm  0.7432  0.9055  0.0000
Pm  0.9055  0.7432  0.0000
Er  0.0000  0.0000  0.0000
Er  0.1109  0.6670  0.0000
Er  0.2967  0.4920  0.0000
Er  0.3330  0.8891  0.0000
Er  0.4920  0.2967  0.0000
Er  0.5080  0.7033  0.0000
Er  0.6670  0.1109  0.0000
Er  0.7033  0.5080  0.0000
Er  0.8891  0.3330  0.0000
In  0.0911  0.4615  0.5000
In  0.1213  0.8787  0.5000
In  0.3033  0.3033  0.5000
In  0.3102  0.6898  0.5000
In  0.4615  0.0911  0.5000
In  0.5000  0.5000  0.5000
In  0.5385  0.9089  0.5000
In  0.6898  0.3102  0.5000
In  0.6967  0.6967  0.5000
In  0.8787  0.1213  0.5000
In  0.9089  0.5385  0.5000

(3)
Calculated XRD peak list of Pm4Er4In for Cu Kα (weighted mean of Kα1 and Kα2), from a DFT-relaxed cell (PBE, Alexandria).

Most intense lines, 2θ from 15° to 90°, in order of falling intensity:
Position (°2θ)	Rel. int.
31.0	100
35.7	34
61.3	28
51.9	23
36.4	16
62.2	14
64.6	12
51.4	12
84.8	11
84.0	6

Structural model:
Unit cell a=7.9321 b=7.9321 c=7.9321 alpha=95.56 beta=95.56 gamma=143.74
Sites, in units of the cell vectors:
Pm  0.0000  0.3322  0.3322
Pm  0.0000  0.6678  0.6678
Pm  0.3322  0.0000  0.3322
Pm  0.6678  0.0000  0.6678
Er  0.3391  0.3391  0.6781
Er  0.3391  0.6609  0.0000
Er  0.6609  0.3391  0.0000
Er  0.6609  0.6609  0.3219
In  0.0000  0.0000  0.0000